Theoretical powder diffraction line list
Compound: CaGaSnH
Radiation: CuKα
Structure: a DFT-relaxed cell (PBE, the Materials Project)

a b c (Å): 4.3852 4.3852 4.9679
angles (deg): 90.00 90.00 120.00
Space group P3m1 (No. 156)
Inequivalent atoms, fractional coordinates:
Ca  0.0000  0.0000  0.0000 (multiplicity 1)
Ga  0.6667  0.3333  0.6164 (multiplicity 1)
Sn  0.3333  0.6667  0.4465 (multiplicity 1)
H  0.6667  0.3333  0.9640 (multiplicity 1)

Main lines, in order of falling intensity (2θ from 10° to 90°):
hkl	Position (°2θ)	intensity
0 1 1	29.6	1000
1 1 0	41.2	467
0 0 1	17.9	342
0 1 2	43.5	314
2 0 1	51.5	211
1 1 1	45.2	209
1 2 1	68.0	183
0 1 3	61.0	166
1 0 0	23.4	161
1 1 2	55.9	141

***

Theoretical powder diffraction line list
Compound: Mg6MnZn
Radiation: CuKα
Structure: a DFT-relaxed cell (PBE, the Materials Project)

a b c (Å): 4.921 6.167 10.666
angles (deg): 90.00 90.00 90.00
Space group Amm2 (No. 38)
Inequivalent atoms, fractional coordinates:
Mg  0.000  0.000  0.000 (multiplicity 2)
Mg  0.000  0.000  0.499 (multiplicity 2)
Mg  0.000  0.248  0.243 (multiplicity 4)
Mg  0.500  0.249  0.913 (multiplicity 4)
Mn  0.500  0.000  0.162 (multiplicity 2)
Zn  0.500  0.000  0.663 (multiplicity 2)

Main lines, in order of falling intensity (2θ from 10° to 90°):
hkl	Position (°2θ)	intensity
1 0 4	38.4	1000
0 2 2	33.6	289
2 0 0	36.5	250
2 4 0	72.4	179
3 0 4	67.0	176
2 2 2	50.5	173
0 4 0	60.0	163
0 0 2	16.6	148
1 4 4	73.5	130
1 0 0	18.0	107